# Ca2YMnO5
Theoretical powder X-ray diffraction pattern, copper Kα. Input: the PBE+U geometry in Alexandria.
Kinematic intensities with the Lorentz-polarization factor, no thermal factor.

Cell and atoms:
Cell lengths 9.147, 9.147, 9.147 Å; angles 50.26, 144.54, 145.57 degrees
Positions (direct):
Ca: 0.025 0.100 0.125
Ca: 0.025 0.400 0.425
Ca: 0.975 0.600 0.575
Ca: 0.975 0.900 0.875
Y: 0.433 0.720 0.213
Y: 0.507 0.220 0.787
Mn: 0.521 0.021 0.500
Mn: 0.521 0.521 0.000
O: 0.024 0.286 0.771
O: 0.024 0.753 0.239
O: 0.140 0.811 0.828
O: 0.488 0.196 0.554
O: 0.488 0.434 0.792
O: 0.515 0.253 0.229
O: 0.515 0.786 0.761
O: 0.641 0.696 0.208
O: 0.641 0.934 0.446
O: 0.983 0.311 0.172

Main lines, low angle first (15 to 90 degrees two-theta):
d_spacing	I_rel
4.141	20
3.883	21
2.832	100
2.786	37
2.707	38
2.070	19
1.941	36
1.586	23